(1)
TeIrS: computed powder XRD pattern (CuKα), based on the PBE geometry in Alexandria.
Lines closer than 0.1° are merged.

Peak list (8 most intense, 2θ from 5° to 70°, by angle)
- 2θ 16.33, I = 68
- 2θ 28.04, I = 22
- 2θ 30.84, I = 50
- 2θ 33.02, I = 100
- 2θ 43.20, I = 32
- 2θ 44.44, I = 34
- 2θ 48.31, I = 33
- 2θ 50.47, I = 22

Atomic structure:
```
data_TeIrS
_cell_length_a 5.4362
_cell_length_b 3.6313
_cell_length_c 6.6216
_cell_angle_alpha 90.00
_cell_angle_beta 93.35
_cell_angle_gamma 90.00
_space_group_name_H-M_alt 'P 1 2/m 1'
_space_group_IT_number 10
loop_
_space_group_symop_operation_xyz
'x,y,z'
'-x,-y,-z'
'-x,y,-z'
'x,-y,z'
loop_
_atom_site_label
_atom_site_type_symbol
_atom_site_fract_x
_atom_site_fract_y
_atom_site_fract_z
Te1 Te 0.2080 0.0000 0.3121
Ir1 Ir 0.5000 0.0000 0.0000
Ir2 Ir 0.5000 0.5000 0.5000
S1 S 0.3072 0.5000 0.8135
```

(2)
PmTeS: computed powder XRD pattern (CuKα), based on the PBE geometry in Alexandria.
Lines closer than 0.1° are merged.

Peak list (8 most intense, 2θ from 5° to 70°, by angle)
- 2θ 16.64, I = 20
- 2θ 24.56, I = 27
- 2θ 26.22, I = 19
- 2θ 28.57, I = 100
- 2θ 33.65, I = 36
- 2θ 38.41, I = 46
- 2θ 50.37, I = 20
- 2θ 60.55, I = 21

Atomic structure:
```
data_PmTeS
_cell_length_a 4.2096
_cell_length_b 5.7613
_cell_length_c 13.9884
_cell_angle_alpha 90.00
_cell_angle_beta 90.00
_cell_angle_gamma 90.00
_space_group_name_H-M_alt 'I m m m'
_space_group_IT_number 71
_space_group_name_Hall '-I 2 2'
loop_
_atom_site_label
_atom_site_type_symbol
_atom_site_fract_x
_atom_site_fract_y
_atom_site_fract_z
Pm1 Pm 0.0000 0.0000 0.1611
Te1 Te 0.0000 0.2473 0.5000
S1 S 0.0000 0.5000 0.2134
```

(3)
CePrHg3: computed powder XRD pattern (CuKα), based on the PBE geometry in Alexandria.
Lines closer than 0.1° are merged.

Peak list (8 most intense, 2θ from 5° to 70°, by angle)
- 2θ 25.37, I = 23
- 2θ 32.19, I = 94
- 2θ 32.78, I = 44
- 2θ 34.67, I = 100
- 2θ 35.62, I = 52
- 2θ 49.19, I = 28
- 2θ 63.78, I = 35
- 2θ 64.39, I = 22

Atomic structure:
```
data_CePrHg3
_cell_length_a 3.5343
_cell_length_b 30.1427
_cell_length_c 5.0405
_cell_angle_alpha 90.00
_cell_angle_beta 90.00
_cell_angle_gamma 90.00
_space_group_name_H-M_alt 'C m c m'
_space_group_IT_number 63
_space_group_name_Hall '-C 2c 2'
loop_
_atom_site_label
_atom_site_type_symbol
_atom_site_fract_x
_atom_site_fract_y
_atom_site_fract_z
Ce1 Ce 0.0000 0.2132 0.2500
Pr1 Pr 0.0000 0.0738 0.7500
Hg1 Hg 0.0000 0.3238 0.2500
Hg2 Hg 0.0000 0.3789 0.7500
Hg3 Hg 0.0000 0.4760 0.7500
```

(4)
Ce2TmZn2Ge2: computed powder XRD pattern (CuKα), based on the PBE geometry in Alexandria.
Lines closer than 0.1° are merged.

Peak list (8 most intense, 2θ from 5° to 70°, by angle)
- 2θ 24.16, I = 26
- 2θ 33.35, I = 100
- 2θ 35.79, I = 48
- 2θ 42.10, I = 75
- 2θ 50.32, I = 12
- 2θ 54.74, I = 24
- 2θ 56.41, I = 13
- 2θ 67.63, I = 28

Atomic structure:
```
data_Ce2TmZn2Ge2
_cell_length_a 4.2930
_cell_length_b 4.2930
_cell_length_c 27.2009
_cell_angle_alpha 90.00
_cell_angle_beta 90.00
_cell_angle_gamma 120.00
_space_group_name_H-M_alt 'R -3 m'
_space_group_IT_number 166
_space_group_name_Hall '-R 3 2"'
loop_
_atom_site_label
_atom_site_type_symbol
_atom_site_fract_x
_atom_site_fract_y
_atom_site_fract_z
Ce1 Ce 0.0000 0.0000 0.1410
Tm1 Tm 0.0000 0.0000 0.0000
Zn1 Zn 0.0000 0.0000 0.4042
Ge1 Ge 0.0000 0.0000 0.2677
```

(5)
K5InO4: computed powder XRD pattern (CuKα), based on the PBE geometry in Alexandria.
Lines closer than 0.1° are merged.

Peak list (8 most intense, 2θ from 5° to 70°, by angle)
- 2θ 15.02, I = 53
- 2θ 17.49, I = 57
- 2θ 28.02, I = 100
- 2θ 28.28, I = 43
- 2θ 30.29, I = 57
- 2θ 34.66, I = 76
- 2θ 41.92, I = 69
- 2θ 44.29, I = 32

Atomic structure:
```
data_K5InO4
_cell_length_a 8.1830
_cell_length_b 8.5136
_cell_length_c 6.3124
_cell_angle_alpha 90.00
_cell_angle_beta 90.00
_cell_angle_gamma 90.00
_space_group_name_H-M_alt 'P m m n'
_space_group_IT_number 59
loop_
_space_group_symop_operation_xyz
'x,y,z'
'-x,-y,-z'
'-x+1/2,-y+1/2,z'
'x+1/2,y+1/2,-z'
'x+1/2,-y,-z'
'-x+1/2,y,z'
'-x,y+1/2,-z'
'x,-y+1/2,z'
loop_
_atom_site_label
_atom_site_type_symbol
_atom_site_fract_x
_atom_site_fract_y
_atom_site_fract_z
K1 K 0.0115 0.0586 0.2407
K2 K 0.2500 0.7500 0.3302
In1 In 0.2500 0.2500 0.7127
O1 O 0.0292 0.2500 0.8907
O2 O 0.2500 0.0367 0.5337
```

(6)
TlRh5O8: computed powder XRD pattern (CuKα), based on the PBE geometry in Alexandria.
Lines closer than 0.1° are merged.

Peak list (8 most intense, 2θ from 5° to 70°, by angle)
- 2θ 23.01, I = 68
- 2θ 23.72, I = 71
- 2θ 28.00, I = 32
- 2θ 29.72, I = 51
- 2θ 34.12, I = 100
- 2θ 34.28, I = 32
- 2θ 35.89, I = 31
- 2θ 37.01, I = 30

Atomic structure:
```
data_TlRh5O8
_cell_length_a 15.7770
_cell_length_b 3.0886
_cell_length_c 7.8797
_cell_angle_alpha 90.00
_cell_angle_beta 107.87
_cell_angle_gamma 90.00
_space_group_name_H-M_alt 'C 1 2 1'
_space_group_IT_number 5
loop_
_space_group_symop_operation_xyz
'x,y,z'
'-x,y,-z'
'x+1/2,y+1/2,z'
'-x+1/2,y+1/2,-z'
loop_
_atom_site_label
_atom_site_type_symbol
_atom_site_fract_x
_atom_site_fract_y
_atom_site_fract_z
Tl1 Tl 0.0000 0.0000 0.0000
Rh1 Rh 0.0000 0.2322 0.5000
Rh2 Rh 0.1598 0.7321 0.4597
Rh3 Rh 0.2033 0.7277 0.8284
O1 O 0.0819 0.2326 0.3345
O2 O 0.0823 0.7313 0.6220
O3 O 0.1766 0.2271 0.9731
O4 O 0.2358 0.2295 0.6520
```

(7)
AcZn2Au6: computed powder XRD pattern (CuKα), based on the PBE geometry in Alexandria.
Lines closer than 0.1° are merged.

Peak list (8 most intense, 2θ from 5° to 70°, by angle)
- 2θ 20.93, I = 8
- 2θ 24.60, I = 20
- 2θ 29.78, I = 87
- 2θ 38.99, I = 6
- 2θ 42.61, I = 100
- 2θ 52.85, I = 24
- 2θ 59.12, I = 8
- 2θ 61.84, I = 17

Atomic structure:
Unit cell a=12.0022 b=12.0022 c=12.0022 alpha=90.00 beta=90.00 gamma=90.00
Space group Fd-3m (No. 227, origin choice 2)
Unique sites:
Ac 0.1250 0.1250 0.1250
Zn 0.0000 0.0000 0.5000
Au 0.1185 0.3750 0.8750

(8)
PrSmCoPt: computed powder XRD pattern (CuKα), based on the PBE geometry in Alexandria.
Lines closer than 0.1° are merged.

Peak list (8 most intense, 2θ from 5° to 70°, by angle)
- 2θ 21.75, I = 13
- 2θ 25.16, I = 1
- 2θ 35.89, I = 100
- 2θ 42.35, I = 7
- 2θ 51.66, I = 18
- 2θ 56.69, I = 3
- 2θ 64.50, I = 36
- 2θ 68.94, I = 2

Atomic structure:
```
data_PrSmCoPt
_cell_length_a 7.0779
_cell_length_b 7.0779
_cell_length_c 7.0779
_cell_angle_alpha 90.00
_cell_angle_beta 90.00
_cell_angle_gamma 90.00
_space_group_name_H-M_alt 'F -4 3 m'
_space_group_IT_number 216
_space_group_name_Hall 'F -4 2 3'
loop_
_atom_site_label
_atom_site_type_symbol
_atom_site_fract_x
_atom_site_fract_y
_atom_site_fract_z
Pr1 Pr 0.0000 0.0000 0.0000
Sm1 Sm 0.0000 0.0000 0.5000
Co1 Co 0.2500 0.2500 0.2500
Pt1 Pt 0.2500 0.2500 0.7500
```

(9)
Pm5Pr4Th: computed powder XRD pattern (CuKα), based on the PBE geometry in Alexandria.
Lines closer than 0.1° are merged.

Peak list (8 most intense, 2θ from 5° to 70°, by angle)
- 2θ 29.77, I = 100
- 2θ 34.39, I = 17
- 2θ 34.58, I = 34
- 2θ 49.56, I = 24
- 2θ 49.70, I = 12
- 2θ 58.77, I = 14
- 2θ 59.02, I = 29
- 2θ 61.84, I = 13

Atomic structure:
```
data_Pm5Pr4Th
_cell_length_a 3.6687
_cell_length_b 3.6687
_cell_length_c 26.0781
_cell_angle_alpha 90.00
_cell_angle_beta 90.00
_cell_angle_gamma 90.00
_space_group_name_H-M_alt 'P 4/m m m'
_space_group_IT_number 123
_space_group_name_Hall '-P 4 2'
loop_
_atom_site_label
_atom_site_type_symbol
_atom_site_fract_x
_atom_site_fract_y
_atom_site_fract_z
Pm1 Pm 0.0000 0.0000 0.0000
Pm2 Pm 0.0000 0.0000 0.2015
Pm3 Pm 0.0000 0.0000 0.4065
Pr1 Pr 0.5000 0.5000 0.1002
Pr2 Pr 0.5000 0.5000 0.3014
Th1 Th 0.5000 0.5000 0.5000
```

(10)
YCr2Co: computed powder XRD pattern (CuKα), based on the PBE geometry in Alexandria.
Lines closer than 0.1° are merged.

Peak list (8 most intense, 2θ from 5° to 70°, by angle)
- 2θ 23.53, I = 15
- 2θ 32.51, I = 26
- 2θ 35.65, I = 68
- 2θ 37.32, I = 100
- 2θ 43.71, I = 84
- 2θ 44.80, I = 22
- 2θ 44.92, I = 29
- 2θ 58.97, I = 16

Atomic structure:
```
data_YCr2Co
_cell_length_a 8.5024
_cell_length_b 3.1326
_cell_length_c 5.2994
_cell_angle_alpha 90.00
_cell_angle_beta 108.31
_cell_angle_gamma 90.00
_space_group_name_H-M_alt 'C 1 m 1'
_space_group_IT_number 8
loop_
_space_group_symop_operation_xyz
'x,y,z'
'x,-y,z'
'x+1/2,y+1/2,z'
'x+1/2,-y+1/2,z'
loop_
_atom_site_label
_atom_site_type_symbol
_atom_site_fract_x
_atom_site_fract_y
_atom_site_fract_z
Y1 Y 0.0000 0.0000 0.0000
Cr1 Cr 0.0131 0.5000 0.5138
Cr2 Cr 0.2960 0.5000 0.3696
Co1 Co 0.2346 0.0000 0.6690
```

(11)
CrP2CS: computed powder XRD pattern (CuKα), based on the PBE geometry in Alexandria.
Lines closer than 0.1° are merged.

Peak list (8 most intense, 2θ from 5° to 70°, by angle)
- 2θ 31.09, I = 10
- 2θ 31.91, I = 6
- 2θ 38.67, I = 100
- 2θ 43.30, I = 23
- 2θ 45.75, I = 39
- 2θ 56.35, I = 3
- 2θ 64.82, I = 25
- 2θ 66.71, I = 11

Atomic structure:
```
data_CrP2CS
_cell_length_a 3.9660
_cell_length_b 3.9660
_cell_length_c 4.1789
_cell_angle_alpha 90.00
_cell_angle_beta 90.00
_cell_angle_gamma 90.00
_space_group_name_H-M_alt 'P 4/m m m'
_space_group_IT_number 123
_space_group_name_Hall '-P 4 2'
loop_
_atom_site_label
_atom_site_type_symbol
_atom_site_fract_x
_atom_site_fract_y
_atom_site_fract_z
Cr1 Cr 0.0000 0.0000 0.0000
P1 P 0.0000 0.5000 0.5000
C1 C 0.5000 0.5000 0.5000
S1 S 0.5000 0.5000 0.0000
```

(12)
Tb2ThNi2: computed powder XRD pattern (CuKα), based on the PBE geometry in Alexandria.
Lines closer than 0.1° are merged.

Peak list (8 most intense, 2θ from 5° to 70°, by angle)
- 2θ 28.92, I = 69
- 2θ 29.23, I = 41
- 2θ 29.70, I = 45
- 2θ 32.26, I = 100
- 2θ 32.88, I = 57
- 2θ 35.51, I = 55
- 2θ 37.53, I = 45
- 2θ 40.68, I = 35

Atomic structure:
```
data_Tb2ThNi2
_cell_length_a 10.9662
_cell_length_b 6.0387
_cell_length_c 7.1580
_cell_angle_alpha 90.00
_cell_angle_beta 100.64
_cell_angle_gamma 90.00
_space_group_name_H-M_alt 'C 1 2/c 1'
_space_group_IT_number 15
loop_
_space_group_symop_operation_xyz
'x,y,z'
'-x,-y,-z'
'-x,y,-z+1/2'
'x,-y,z+1/2'
'x+1/2,y+1/2,z'
'-x+1/2,-y+1/2,-z'
'-x+1/2,y+1/2,-z+1/2'
'x+1/2,-y+1/2,z+1/2'
loop_
_atom_site_label
_atom_site_type_symbol
_atom_site_fract_x
_atom_site_fract_y
_atom_site_fract_z
Tb1 Tb 0.1562 0.1071 0.1547
Th1 Th 0.0000 0.4028 0.7500
Ni1 Ni 0.1567 0.3611 0.5107
```

(13)
LaNiSn3: computed powder XRD pattern (CuKα), based on the PBE geometry in Alexandria.
Lines closer than 0.1° are merged.

Peak list (8 most intense, 2θ from 5° to 70°, by angle)
- 2θ 29.20, I = 39
- 2θ 30.44, I = 36
- 2θ 33.25, I = 85
- 2θ 33.86, I = 100
- 2θ 42.69, I = 45
- 2θ 54.81, I = 18
- 2θ 61.86, I = 26
- 2θ 65.37, I = 28

Atomic structure:
```
data_LaNiSn3
_cell_length_a 6.7324
_cell_length_b 6.0035
_cell_length_c 6.1176
_cell_angle_alpha 90.00
_cell_angle_beta 90.00
_cell_angle_gamma 90.00
_space_group_name_H-M_alt 'P m n 21'
_space_group_IT_number 31
loop_
_space_group_symop_operation_xyz
'x,y,z'
'-x+1/2,-y,z+1/2'
'-x,y,z'
'x+1/2,-y,z+1/2'
loop_
_atom_site_label
_atom_site_type_symbol
_atom_site_fract_x
_atom_site_fract_y
_atom_site_fract_z
La1 La 0.0000 0.1290 0.0000
Ni1 Ni 0.0000 0.6023 0.2321
Sn1 Sn 0.0000 0.8948 0.5278
Sn2 Sn 0.2407 0.3449 0.4385
```

(14)
KLaMg6O8: computed powder XRD pattern (CuKα), based on the PBE geometry in Alexandria.
Lines closer than 0.1° are merged.

Peak list (8 most intense, 2θ from 5° to 70°, by angle)
- 2θ 9.71, I = 56
- 2θ 21.51, I = 40
- 2θ 28.96, I = 36
- 2θ 33.69, I = 54
- 2θ 38.86, I = 100
- 2θ 39.58, I = 40
- 2θ 56.13, I = 30
- 2θ 56.68, I = 50

Atomic structure:
```
data_KLaMg6O8
_cell_length_a 4.6347
_cell_length_b 4.6347
_cell_length_c 9.1076
_cell_angle_alpha 90.00
_cell_angle_beta 90.00
_cell_angle_gamma 90.00
_space_group_name_H-M_alt 'P 4/m m m'
_space_group_IT_number 123
_space_group_name_Hall '-P 4 2'
loop_
_atom_site_label
_atom_site_type_symbol
_atom_site_fract_x
_atom_site_fract_y
_atom_site_fract_z
K1 K 0.0000 0.0000 0.0000
La1 La 0.5000 0.5000 0.0000
Mg1 Mg 0.0000 0.0000 0.5000
Mg2 Mg 0.0000 0.5000 0.2758
Mg3 Mg 0.5000 0.5000 0.5000
O1 O 0.0000 0.0000 0.2814
O2 O 0.0000 0.5000 0.0000
O3 O 0.0000 0.5000 0.5000
O4 O 0.5000 0.5000 0.2737
```